(1)
For Nd5Sm2Dy3, a PBE-relaxed structure gives the computed powder X-ray diffraction pattern in this record (Cu Kα).

The 12 most intense peaks (2θ from 10° to 80°), in order of rising 2θ:
| 2θ (°) | I/Imax |
| --- | --- |
| 29.30 | 94 |
| 30.84 | 100 |
| 31.89 | 22 |
| 33.00 | 46 |
| 33.97 | 17 |
| 35.89 | 24 |
| 46.55 | 15 |
| 48.68 | 21 |
| 57.59 | 17 |
| 59.98 | 22 |
| 62.63 | 25 |
| 68.59 | 17 |

Structural model:
```
data_Nd5Sm2Dy3
_cell_length_a 9.2597
_cell_length_b 9.2597
_cell_length_c 10.0387
_cell_angle_alpha 108.41
_cell_angle_beta 108.41
_cell_angle_gamma 108.21
_space_group_name_H-M_alt 'P 1'
_space_group_IT_number 1
_space_group_name_Hall 'P 1'
loop_
_atom_site_label
_atom_site_fract_x
_atom_site_fract_y
_atom_site_fract_z
Nd1 0.0245 0.9755 0.7500
Nd2 0.1202 0.3641 0.7372
Nd3 0.2307 0.7693 0.7500
Nd4 0.2712 0.7288 0.2500
Nd5 0.3641 0.1202 0.2372
Nd6 0.6359 0.8798 0.7628
Nd7 0.7288 0.2712 0.7500
Nd8 0.7693 0.2307 0.2500
Nd9 0.8798 0.6359 0.2628
Nd10 0.9755 0.0245 0.2500
Sm1 0.2269 0.4725 0.4430
Sm2 0.4725 0.2269 0.9430
Sm3 0.5275 0.7731 0.0570
Sm4 0.7731 0.5275 0.5570
Dy1 0.0331 0.2809 0.0546
Dy2 0.2809 0.0331 0.5546
Dy3 0.4800 0.5200 0.2500
Dy4 0.5200 0.4800 0.7500
Dy5 0.7191 0.9669 0.4454
Dy6 0.9669 0.7191 0.9454
```

---

(2)
For MnNi6Sb, a PBE-relaxed structure gives the computed powder X-ray diffraction pattern in this record (Cu Kα).

The 12 most intense peaks (2θ from 10° to 80°), in order of rising 2θ:
| 2θ (°) | I/Imax |
| --- | --- |
| 14.85 | 1 |
| 22.77 | 2 |
| 24.37 | 2 |
| 25.87 | 1 |
| 31.22 | 2 |
| 34.74 | 2 |
| 35.84 | 1 |
| 37.96 | 1 |
| 42.89 | 100 |
| 49.94 | 47 |
| 56.33 | 1 |
| 73.32 | 27 |

Structural model:
```
data_MnNi6Sb
_cell_length_a 6.3239
_cell_length_b 6.3239
_cell_length_c 10.3311
_cell_angle_alpha 90.00
_cell_angle_beta 90.00
_cell_angle_gamma 109.40
_space_group_name_H-M_alt 'P 1'
_space_group_IT_number 1
_space_group_name_Hall 'P 1'
loop_
_atom_site_label
_atom_site_fract_x
_atom_site_fract_y
_atom_site_fract_z
Mn1 0.0000 0.0000 0.2438
Mn2 0.0000 0.0000 0.7562
Mn3 0.2488 0.7512 0.0000
Mn4 0.7512 0.2488 0.0000
Ni1 0.0000 0.0000 0.0000
Ni2 0.0000 0.0000 0.5000
Ni3 0.1172 0.3724 0.1209
Ni4 0.1172 0.3724 0.8791
Ni5 0.1228 0.3679 0.3709
Ni6 0.1228 0.3679 0.6291
Ni7 0.2460 0.7540 0.2436
Ni8 0.2460 0.7540 0.7564
Ni9 0.3679 0.1228 0.3709
Ni10 0.3679 0.1228 0.6291
Ni11 0.3724 0.1172 0.1209
Ni12 0.3724 0.1172 0.8791
Ni13 0.5000 0.5000 0.0000
Ni14 0.5000 0.5000 0.5000
Ni15 0.6276 0.8828 0.1209
Ni16 0.6276 0.8828 0.8791
Ni17 0.6321 0.8772 0.3709
Ni18 0.6321 0.8772 0.6291
Ni19 0.7540 0.2460 0.2436
Ni20 0.7540 0.2460 0.7564
Ni21 0.8772 0.6321 0.3709
Ni22 0.8772 0.6321 0.6291
Ni23 0.8828 0.6276 0.1209
Ni24 0.8828 0.6276 0.8791
Sb1 0.2499 0.7501 0.5000
Sb2 0.5000 0.5000 0.2436
Sb3 0.5000 0.5000 0.7564
Sb4 0.7501 0.2499 0.5000
```

---

(3)
For Li3NpI8, a PBE-relaxed structure gives the computed powder X-ray diffraction pattern in this record (Cu Kα).

The 12 most intense peaks (2θ from 10° to 80°), in order of rising 2θ:
| 2θ (°) | I/Imax |
| --- | --- |
| 11.97 | 46 |
| 12.40 | 46 |
| 14.17 | 20 |
| 23.68 | 20 |
| 24.08 | 24 |
| 24.88 | 27 |
| 24.99 | 54 |
| 28.57 | 100 |
| 28.79 | 50 |
| 40.49 | 32 |
| 41.50 | 57 |
| 51.26 | 23 |

Structural model:
```
data_Li3NpI8
_cell_length_a 8.7025
_cell_length_b 8.7025
_cell_length_c 8.9790
_cell_angle_alpha 119.45
_cell_angle_beta 119.45
_cell_angle_gamma 60.04
_space_group_name_H-M_alt 'P 1'
_space_group_IT_number 1
_space_group_name_Hall 'P 1'
loop_
_atom_site_label
_atom_site_fract_x
_atom_site_fract_y
_atom_site_fract_z
Li1 0.0000 0.0000 0.0000
Li2 0.0000 0.5000 0.0000
Li3 0.5000 0.0000 0.0000
Np1 0.5000 0.5000 0.0000
I1 0.2287 0.2287 0.1837
I2 0.2624 0.2624 0.7642
I3 0.2628 0.7354 0.7640
I4 0.2646 0.7372 0.2360
I5 0.7354 0.2628 0.7640
I6 0.7372 0.2646 0.2360
I7 0.7376 0.7376 0.2358
I8 0.7713 0.7713 0.8163
```

---

(4)
For PmPr2Nd2Ho2, a PBE-relaxed structure gives the computed powder X-ray diffraction pattern in this record (Cu Kα).

The 12 most intense peaks (2θ from 10° to 80°), in order of rising 2θ:
| 2θ (°) | I/Imax |
| --- | --- |
| 30.00 | 100 |
| 30.10 | 99 |
| 34.76 | 34 |
| 34.88 | 67 |
| 49.94 | 12 |
| 50.10 | 48 |
| 50.21 | 12 |
| 59.33 | 14 |
| 59.53 | 57 |
| 59.69 | 14 |
| 62.34 | 12 |
| 62.58 | 12 |

Structural model:
```
data_PmPr2Nd2Ho2
_cell_length_a 6.2930
_cell_length_b 6.2930
_cell_length_c 8.1713
_cell_angle_alpha 97.37
_cell_angle_beta 97.37
_cell_angle_gamma 48.28
_space_group_name_H-M_alt 'P 1'
_space_group_IT_number 1
_space_group_name_Hall 'P 1'
loop_
_atom_site_label
_atom_site_fract_x
_atom_site_fract_y
_atom_site_fract_z
Pm1 0.0000 0.0000 0.0000
Pr1 0.1419 0.1419 0.4278
Pr2 0.8581 0.8581 0.5722
Nd1 0.2857 0.2857 0.8583
Nd2 0.7143 0.7143 0.1417
Ho1 0.4285 0.4285 0.2865
Ho2 0.5715 0.5715 0.7135
```

---

(5)
For KCd10Hg2, a PBE-relaxed structure gives the computed powder X-ray diffraction pattern in this record (Cu Kα).

The 12 most intense peaks (2θ from 10° to 80°), in order of rising 2θ:
| 2θ (°) | I/Imax |
| --- | --- |
| 12.20 | 29 |
| 17.24 | 44 |
| 29.88 | 24 |
| 34.12 | 84 |
| 34.63 | 32 |
| 34.77 | 30 |
| 34.89 | 61 |
| 38.47 | 100 |
| 38.99 | 40 |
| 39.09 | 31 |
| 39.25 | 32 |
| 62.07 | 29 |

Structural model:
```
data_KCd10Hg2
_cell_length_a 10.2858
_cell_length_b 7.9063
_cell_length_c 7.8729
_cell_angle_alpha 81.36
_cell_angle_beta 49.46
_cell_angle_gamma 49.18
_space_group_name_H-M_alt 'P 1'
_space_group_IT_number 1
_space_group_name_Hall 'P 1'
loop_
_atom_site_label
_atom_site_fract_x
_atom_site_fract_y
_atom_site_fract_z
K1 0.0000 0.0000 0.0000
Cd1 0.0000 0.5000 0.0000
Cd2 0.0021 0.3564 0.6436
Cd3 0.2836 0.4996 0.5004
Cd4 0.3564 0.0021 0.9979
Cd5 0.5000 0.0000 0.5000
Cd6 0.4996 0.2836 0.7164
Cd7 0.5004 0.7164 0.2836
Cd8 0.6436 0.9979 0.0021
Cd9 0.7164 0.5004 0.4996
Cd10 0.9979 0.6436 0.3564
Hg1 0.0000 0.0000 0.5000
Hg2 0.5000 0.5000 0.0000
```